# 1
Diffraction record for CoH2SeO5. The X-ray diffraction stick pattern is simulated, not measured: it uses a GGA+U-relaxed structure and CuKα.

Principal peaks in the range 2θ = 10–90°, by angle:
17.60 deg, d 5.039, intensity 93.3
25.17 deg, d 3.538, intensity 100.0
25.32 deg, d 3.517, intensity 61.1
25.73 deg, d 3.463, intensity 54.5
28.54 deg, d 3.128, intensity 55.6
33.41 deg, d 2.682, intensity 37.7
33.94 deg, d 2.641, intensity 59.7
35.98 deg, d 2.496, intensity 34.7

Structural model:
```
18
Lattice="3.5587 -4.0828 0.0000 3.5587 4.0828 0.0000 -3.3582 0.0000 6.9277" Properties=species:S:1:pos:R:3 pbc="T T T"
Co 1.7793 2.0414 0.0000
Co 0.1002 -2.0414 3.4638
H -1.7824 0.4001 4.8651
H -0.1033 -0.4001 1.4012
H 3.8624 0.4001 5.5264
H 5.5415 -0.4001 2.0626
Se 1.0400 0.6950 5.1957
Se 2.7191 -0.6950 1.7319
O 2.7191 3.0923 1.7319
O 1.5078 0.2598 1.0387
O 0.3573 1.6516 6.3789
O 1.7227 1.6516 4.0126
O -0.1713 -0.2598 4.5025
O 3.9304 0.2598 2.4252
O 2.0364 -1.6516 2.9151
O 3.4018 -1.6516 0.5488
O 2.2513 -0.2598 5.8890
O 1.0400 -3.0923 5.1957
```

---

# 2
Diffraction record for CoH2SeO4. The X-ray diffraction stick pattern is simulated, not measured: it uses a GGA+U-relaxed structure and CuKα.

Principal peaks in the range 2θ = 10–90°, by angle:
12.96 deg, d 6.833, intensity 100.0
18.12 deg, d 4.897, intensity 47.5
22.45 deg, d 3.960, intensity 81.2
29.29 deg, d 3.049, intensity 79.2
31.77 deg, d 2.816, intensity 32.8
32.04 deg, d 2.793, intensity 24.4
33.10 deg, d 2.706, intensity 87.3
38.57 deg, d 2.334, intensity 34.2

Structural model:
```
32
Lattice="5.7325 0.0000 0.0000 0.0000 4.8584 0.0000 -3.1461 0.0000 13.6666" Properties=species:S:1:pos:R:3 pbc="T T T"
Co 0.6384 0.8782 3.1909
Co -0.9347 1.5510 10.0242
Co 3.5210 3.3075 3.6424
Co 1.9480 3.9802 10.4757
H -1.8427 3.3410 8.4266
H -0.2697 3.9467 1.5933
H 1.2430 3.5606 1.8049
H -0.3300 3.7271 8.6382
H 2.9164 1.1313 5.0284
H 1.3433 1.2979 11.8617
H 2.8560 0.9117 12.0733
H 4.4291 1.5175 5.2400
Se -0.9108 3.5733 12.2071
Se 0.6622 3.7144 5.3738
Se 1.9241 1.1441 8.2928
Se 3.4972 1.2852 1.4595
O -2.1954 2.8646 11.2363
O -0.6223 4.4231 4.4030
O -0.9305 2.9664 8.4427
O 0.6426 4.3213 1.6094
O -0.9621 0.3624 11.8113
O 0.6109 2.0668 4.9779
O 0.6211 0.4300 9.2668
O 2.1942 1.9992 2.4335
O 0.3922 2.8593 11.2332
O 1.9653 4.4284 4.3999
O 1.9754 2.7916 8.6887
O 3.5485 4.4961 1.8554
O 1.9438 0.5371 12.0572
O 3.5168 1.8921 5.2239
O 3.2087 0.4353 9.2636
O 4.7818 1.9939 2.4303
```

---

# 3
Diffraction record for V2CoH4O8. The X-ray diffraction stick pattern is simulated, not measured: it uses a GGA+U-relaxed structure and CuKα.

Principal peaks in the range 2θ = 10–90°, by angle:
17.26 deg, d 5.137, intensity 68.2
21.59 deg, d 4.116, intensity 53.7
22.25 deg, d 3.996, intensity 100.0
25.92 deg, d 3.438, intensity 34.1
27.27 deg, d 3.270, intensity 59.2
32.34 deg, d 2.769, intensity 25.3
42.51 deg, d 2.127, intensity 17.8
50.82 deg, d 1.797, intensity 16.4

Structural model:
```
60
Lattice="5.6930 0.0000 0.0000 0.0000 10.7712 0.0000 0.0000 0.0000 11.9182" Properties=species:S:1:pos:R:3 pbc="T T T"
V 1.1004 0.3414 2.0747
V 1.1004 5.0442 2.0747
V 1.7461 5.7270 8.0339
V 1.7461 10.4298 8.0339
V 3.9469 0.3414 3.8844
V 3.9469 5.0442 3.8844
V 4.5926 5.7270 9.8435
V 4.5926 10.4298 9.8435
Co 0.1047 8.0784 0.4846
Co 2.7418 2.6928 6.4437
Co 2.9512 8.0784 5.4745
Co 5.5883 2.6928 11.4336
H 0.2928 8.0784 4.9531
H 0.6890 1.9119 4.8073
H 0.6890 3.4737 4.8073
H 0.9713 8.0784 3.4833
H 1.8752 2.6928 9.4424
H 2.1575 7.2975 10.7664
H 2.1575 8.8593 10.7664
H 2.5537 2.6928 10.9122
H 3.1393 8.0784 1.0060
H 3.5355 1.9119 1.1518
H 3.5355 3.4737 1.1518
H 3.8178 8.0784 2.4758
H 4.7217 2.6928 8.4349
H 5.0040 7.2975 7.1110
H 5.0040 8.8593 7.1110
H 5.4002 2.6928 6.9651
O 0.0027 0.7680 3.4780
O 0.0027 4.6176 3.4780
O 5.6903 6.1537 8.4402
O 5.6903 10.0032 8.4402
O 0.6473 1.2510 0.7529
O 0.6473 4.1346 0.7529
O 0.8668 2.6928 5.3872
O 0.9293 6.6852 1.7241
O 0.9293 9.4717 1.7241
O 1.1343 8.0784 4.4444
O 1.7122 2.6928 10.4035
O 1.9172 1.2996 7.6832
O 1.9172 4.0861 7.6832
O 1.9797 8.0784 11.3463
O 2.1992 6.6367 6.7120
O 2.1992 9.5202 6.7120
O 2.8492 0.7680 2.4811
O 2.8492 4.6176 2.4811
O 2.8438 6.1537 9.4371
O 2.8438 10.0032 9.4371
O 3.4938 1.2510 5.2062
O 3.4938 4.1346 5.2062
O 3.7133 2.6928 0.5719
O 3.7758 6.6852 4.2350
O 3.7758 9.4717 4.2350
O 3.9808 8.0784 1.5147
O 4.5587 2.6928 7.4738
O 4.7637 1.2996 10.1941
O 4.7637 4.0861 10.1941
O 4.8262 8.0784 6.5310
O 5.0457 6.6367 11.1653
O 5.0457 9.5202 11.1653
```

---

# 4
Diffraction record for V2CoH8O10. The X-ray diffraction stick pattern is simulated, not measured: it uses a GGA+U-relaxed structure and CuKα.

Principal peaks in the range 2θ = 10–90°, by angle:
11.25 deg, d 7.863, intensity 100.0
15.45 deg, d 5.736, intensity 26.9
19.15 deg, d 4.635, intensity 22.0
22.60 deg, d 3.934, intensity 43.0
27.54 deg, d 3.239, intensity 21.2
29.23 deg, d 3.055, intensity 30.5
31.18 deg, d 2.868, intensity 25.3
33.54 deg, d 2.672, intensity 15.5

Structural model:
```
42
Lattice="6.7117 -5.0270 0.0000 6.7117 5.0270 0.0000 -2.4334 0.0000 6.6968" Properties=species:S:1:pos:R:3 pbc="T T T"
V 0.9347 0.2046 1.2788
V -0.2821 -0.2047 4.6272
V 11.2721 0.2046 2.0696
V 10.0553 -0.2046 5.4180
Co 3.3559 2.5135 0.0000
Co 2.1391 -2.5135 3.3484
H 2.8876 1.1318 3.3750
H 4.1032 1.9228 3.9397
H 4.4349 1.2433 1.9518
H 5.1283 0.6860 0.6447
H 5.6701 1.9228 6.1056
H 4.1043 -1.1318 0.0265
H 3.9115 -0.6860 3.9931
H 7.7718 1.2433 1.3966
H 3.2182 -1.2433 5.3003
H 7.0785 0.6860 2.7037
H 6.8857 1.1318 6.6703
H 5.3199 -1.9228 0.5913
H 5.8617 -0.6860 6.0521
H 6.5551 -1.2433 4.7450
H 6.8868 -1.9228 2.7571
H 8.1024 -1.1318 3.3219
O 1.8062 1.6458 1.2439
O -0.2420 0.4412 2.8095
O -1.4587 -0.4412 6.1579
O 0.7100 0.9578 5.3625
O 4.7780 1.5070 1.0511
O 3.8535 1.0715 3.5203
O 1.9267 -0.9578 2.0141
O 0.5895 -1.6458 4.5923
O 7.4287 1.5070 2.2973
O 5.0702 -1.0715 0.1719
O 5.9198 1.0715 6.5249
O 3.5613 -1.5070 4.3995
O 10.4005 1.6458 2.1045
O 9.0633 0.9578 4.6828
O 7.1365 -1.0715 3.1765
O 6.2120 -1.5070 5.6457
O 10.2800 -0.9578 1.3344
O 12.4487 0.4412 0.5389
O 11.2320 -0.4412 3.8873
O 9.1838 -1.6458 5.4529
```